# 1
Structure and simulated powder diffractogram of AcAgPb2O4 (a structure optimized by DFT (GGA-PBE); Cu Ka).

Structure:
```
AcAgPb2O4
1.0
0.0000 5.4570 3.6783
3.6295 0.0000 3.6783
3.6295 5.4570 0.0000
Ac Ag Pb O
1 1 2 4
Direct
0.0000 0.0000 0.0000
0.5061 0.5061 0.4939
0.2536 0.2536 0.2464
0.7536 0.7536 0.7464
0.0066 0.5015 0.9934
0.1916 0.7366 0.2634
0.5015 0.0066 0.4985
0.7366 0.1916 0.8084
```

Main lines, in order of rising 2θ (10 to 80 degrees two-theta):
| 2θ (°) | Rel. int. |
| --- | --- |
| 29.28 | 100 |
| 29.56 | 97 |
| 32.82 | 53 |
| 34.72 | 91 |
| 48.53 | 70 |
| 56.60 | 17 |
| 58.77 | 31 |
| 59.25 | 29 |



# 2
Structure and simulated powder diffractogram of Ac2AgPbO5 (a structure optimized by DFT (GGA-PBE); Cu Ka).

Structure:
```
Ac2AgPbO5
1.0
7.2205 0.0000 0.0000
0.0000 7.2205 0.0000
0.0000 0.0000 6.5155
Ac Ag Pb O
4 2 2 10
Direct
0.1791 0.3209 0.0000
0.3209 0.8209 0.0000
0.6791 0.1791 0.0000
0.8209 0.6791 0.0000
0.0000 0.0000 0.5000
0.5000 0.5000 0.5000
0.0000 0.5000 0.5000
0.5000 0.0000 0.5000
0.0000 0.0000 0.0000
0.1404 0.6404 0.2394
0.1404 0.6404 0.7606
0.3596 0.1404 0.2394
0.3596 0.1404 0.7606
0.5000 0.5000 0.0000
0.6404 0.8596 0.2394
0.6404 0.8596 0.7606
0.8596 0.3596 0.2394
0.8596 0.3596 0.7606
```

Main lines, in order of rising 2θ (10 to 80 degrees two-theta):
| 2θ (°) | Rel. int. |
| --- | --- |
| 27.38 | 40 |
| 27.62 | 21 |
| 28.26 | 100 |
| 30.91 | 44 |
| 35.15 | 22 |
| 39.28 | 32 |
| 45.12 | 22 |
| 48.94 | 23 |



# 3
Structure and simulated powder diffractogram of AcAg3Pd4O12 (a structure optimized by DFT (GGA-PBE); Cu Ka).

Structure:
```
AcAg3Pd4O12
1.0
-3.9407 3.9407 3.9407
3.9407 -3.9407 3.9407
3.9407 3.9407 -3.9407
Ac Ag Pd O
1 3 4 12
Direct
0.0000 0.0000 0.0000
0.0000 0.5000 0.5000
0.5000 0.0000 0.5000
0.5000 0.5000 0.0000
0.0000 0.0000 0.5000
0.0000 0.5000 0.0000
0.5000 0.0000 0.0000
0.5000 0.5000 0.5000
0.1245 0.8256 0.2989
0.1744 0.2989 0.4733
0.1744 0.7011 0.8755
0.2989 0.1245 0.8256
0.2989 0.4733 0.1744
0.4733 0.1744 0.2989
0.5267 0.8256 0.7011
0.7011 0.5267 0.8256
0.7011 0.8755 0.1744
0.8256 0.2989 0.1245
0.8256 0.7011 0.5267
0.8755 0.1744 0.7011
```

Main lines, in order of rising 2θ (10 to 80 degrees two-theta):
| 2θ (°) | Rel. int. |
| --- | --- |
| 15.90 | 7 |
| 32.12 | 100 |
| 36.04 | 4 |
| 42.94 | 5 |
| 46.07 | 23 |
| 57.27 | 45 |
| 67.19 | 13 |
| 76.43 | 17 |



# 4
Structure and simulated powder diffractogram of AcAg2PtO4 (a structure optimized by DFT (GGA-PBE); Cu Ka).

Structure:
```
AcAg2PtO4
1.0
-3.2583 3.4212 3.4547
3.2583 -3.4212 3.4547
3.2583 3.4212 -3.4547
Ac Ag Pt O
1 2 1 4
Direct
0.0000 0.0000 0.0000
0.2045 0.7045 0.5000
0.7955 0.2955 0.5000
0.5000 0.5000 0.0000
0.0898 0.2882 0.8016
0.4866 0.2882 0.1984
0.5134 0.7118 0.8016
0.9102 0.7118 0.1984
```

Main lines, in order of rising 2θ (10 to 80 degrees two-theta):
| 2θ (°) | Rel. int. |
| --- | --- |
| 18.80 | 25 |
| 26.05 | 42 |
| 27.37 | 56 |
| 32.11 | 100 |
| 38.14 | 32 |
| 49.91 | 36 |
| 51.46 | 27 |
| 65.16 | 16 |



# 5
Structure and simulated powder diffractogram of Ac5Ag2PtO (a structure optimized by DFT (GGA-PBE); Cu Ka).

Structure:
```
Ac5Ag2PtO
1.0
2.1540 -9.7421 0.0000
2.1540 9.7421 0.0000
0.0000 0.0000 14.1817
Ac Ag Pt O
10 4 2 2
Direct
0.0017 0.9983 0.5000
0.1433 0.8567 0.2502
0.1896 0.8104 0.6127
0.2026 0.7974 0.9096
0.4569 0.5431 0.2333
0.5431 0.4569 0.7333
0.7974 0.2026 0.4096
0.8104 0.1896 0.1127
0.8567 0.1433 0.7502
0.9983 0.0017 0.0000
0.3773 0.6227 0.9333
0.3786 0.6214 0.5704
0.6214 0.3786 0.0704
0.6227 0.3773 0.4333
0.2974 0.7026 0.2613
0.7026 0.2974 0.7613
0.0597 0.9403 0.6529
0.9403 0.0597 0.1529
```

Main lines, in order of rising 2θ (10 to 80 degrees two-theta):
| 2θ (°) | Rel. int. |
| --- | --- |
| 26.27 | 17 |
| 27.85 | 21 |
| 28.19 | 46 |
| 28.40 | 100 |
| 33.48 | 40 |
| 41.94 | 23 |
| 46.53 | 27 |
| 51.30 | 18 |



# 6
Structure and simulated powder diffractogram of Rb3Ac3AgO8 (a structure optimized by DFT (GGA-PBE); Cu Ka).

Structure:
```
Rb3Ac3AgO8
1.0
6.4733 -3.7863 0.0000
6.4733 3.7863 0.0000
-4.3779 0.0000 6.6290
Rb Ac Ag O
3 3 1 8
Direct
0.0000 0.0000 0.0000
0.0000 0.5000 0.0000
0.5000 0.0000 0.0000
0.0000 0.5000 0.5000
0.5000 0.0000 0.5000
0.5000 0.5000 0.5000
0.0000 0.0000 0.5000
0.1962 0.1962 0.6624
0.2185 0.7449 0.6809
0.2551 0.7815 0.3191
0.2700 0.2700 0.3164
0.7300 0.7300 0.6836
0.7449 0.2185 0.6809
0.7815 0.2551 0.3191
0.8038 0.8038 0.3376
```

Main lines, in order of rising 2θ (10 to 80 degrees two-theta):
| 2θ (°) | Rel. int. |
| --- | --- |
| 13.36 | 100 |
| 26.90 | 55 |
| 28.79 | 84 |
| 28.93 | 41 |
| 32.72 | 97 |
| 33.17 | 45 |
| 45.97 | 33 |
| 48.57 | 32 |



# 7
Structure and simulated powder diffractogram of Ac2AgSO6 (a structure optimized by DFT (GGA-PBE); Cu Ka).

Structure:
```
Ac2AgSO6
1.0
5.7758 0.0000 0.0000
0.0000 5.7758 0.0000
0.0000 0.0000 4.4593
Ac Ag S O
2 1 1 6
Direct
0.0000 0.5000 0.0000
0.5000 0.0000 0.0000
0.0000 0.0000 0.5221
0.5000 0.5000 0.6039
0.0000 0.0000 0.0403
0.2847 0.2847 0.6610
0.2847 0.7153 0.6610
0.5000 0.5000 0.2520
0.7153 0.2847 0.6610
0.7153 0.7153 0.6610
```

Main lines, in order of rising 2θ (10 to 80 degrees two-theta):
| 2θ (°) | Rel. int. |
| --- | --- |
| 19.91 | 17 |
| 21.76 | 21 |
| 29.66 | 100 |
| 30.97 | 44 |
| 37.09 | 22 |
| 44.36 | 23 |
| 51.80 | 23 |
| 54.28 | 38 |



# 8
Structure and simulated powder diffractogram of Ac2AgSbO6 (a structure optimized by DFT (GGA-PBE); Cu Ka).

Structure:
```
Ac2AgSbO6
1.0
5.6846 0.0000 0.0000
0.0000 5.6846 0.0000
0.0000 0.0000 5.2925
Ac Ag Sb O
2 1 1 6
Direct
0.0000 0.5000 0.0000
0.5000 0.0000 0.0000
0.0000 0.0000 0.4911
0.5000 0.5000 0.5920
0.0000 0.0000 0.0855
0.2691 0.2691 0.7178
0.2691 0.7309 0.7178
0.5000 0.5000 0.2229
0.7309 0.2691 0.7178
0.7309 0.7309 0.7178
```

Main lines, in order of rising 2θ (10 to 80 degrees two-theta):
| 2θ (°) | Rel. int. |
| --- | --- |
| 16.75 | 13 |
| 27.87 | 100 |
| 31.47 | 37 |
| 33.87 | 11 |
| 45.11 | 20 |
| 46.91 | 26 |
| 53.86 | 33 |
| 57.59 | 10 |



# 9
Structure and simulated powder diffractogram of AcSiAg2O4 (a structure optimized by DFT (GGA-PBE); Cu Ka).

Structure:
```
AcSiAg2O4
1.0
-2.7003 2.7003 4.7609
2.7003 -2.7003 4.7609
2.7003 2.7003 -4.7609
Ac Si Ag O
1 1 2 4
Direct
0.0000 0.0000 0.0000
0.7500 0.2500 0.5000
0.2500 0.7500 0.5000
0.5000 0.5000 0.0000
0.0224 0.1695 0.4888
0.4664 0.9776 0.1471
0.6807 0.5336 0.5112
0.8305 0.3193 0.8529
```

Main lines, in order of rising 2θ (10 to 80 degrees two-theta):
| 2θ (°) | Rel. int. |
| --- | --- |
| 18.89 | 19 |
| 23.29 | 12 |
| 30.00 | 100 |
| 33.18 | 31 |
| 47.63 | 15 |
| 51.15 | 24 |
| 57.32 | 30 |
| 62.34 | 11 |



# 10
Structure and simulated powder diffractogram of AcTi2Ag2O7 (a structure optimized by DFT (GGA-PBE); Cu Ka).

Structure:
```
AcTi2Ag2O7
1.0
2.7607 -2.7604 0.0000
2.7607 2.7604 0.0000
-2.5849 0.0000 10.1747
Ac Ti Ag O
1 2 2 7
Direct
0.0000 0.0000 0.0000
0.4009 0.4009 0.7852
0.5991 0.5991 0.2148
0.1629 0.1629 0.3922
0.8371 0.8371 0.6078
0.0893 0.5924 0.1875
0.3208 0.3208 0.6054
0.4076 0.9107 0.8125
0.5000 0.5000 0.0000
0.5924 0.0893 0.1875
0.6792 0.6792 0.3946
0.9107 0.4076 0.8125
```

Main lines, in order of rising 2θ (10 to 80 degrees two-theta):
| 2θ (°) | Rel. int. |
| --- | --- |
| 23.15 | 44 |
| 31.56 | 93 |
| 31.96 | 93 |
| 32.44 | 100 |
| 42.21 | 23 |
| 44.52 | 31 |
| 46.53 | 53 |
| 56.15 | 20 |